Structure and simulated X-ray powder pattern of Ba4Br (a cell relaxed with PBE; λ = 1.5418 Å (Cu Kα)).

Principal peaks in the range 10° ≤ 2θ ≤ 90°, low angle first:
two_theta	d_spacing	intensity	index
23.3	3.815	100	1 1 1
27.0	3.304	99	2 0 0
38.5	2.336	76	2 2 0
45.5	1.992	50	3 1 1
47.7	1.907	27	2 2 2
61.1	1.516	21	3 3 1
62.9	1.478	36	4 2 0
69.7	1.349	26	4 2 2
87.3	1.117	16	5 3 1
88.9	1.101	18	6 0 0

```
data_Ba4Br
_chemical_formula_sum 'Ba4 Br1'
_cell_length_a 6.6077
_cell_length_b 6.6077
_cell_length_c 6.6077
_cell_angle_alpha 90.00
_cell_angle_beta 90.00
_cell_angle_gamma 90.00
_space_group_name_H-M_alt 'P 1'
_space_group_IT_number 1
_space_group_name_Hall 'P 1'
loop_
_atom_site_label
_atom_site_type_symbol
_atom_site_fract_x
_atom_site_fract_y
_atom_site_fract_z
Ba1 Ba 0.0000 0.0000 0.0000
Ba2 Ba 0.0000 0.5000 0.5000
Ba3 Ba 0.5000 0.0000 0.5000
Ba4 Ba 0.5000 0.5000 0.0000
Br1 Br 0.5000 0.5000 0.5000
```